# Ce2Sb4Pb
Computed X-ray diffraction stick pattern, CuKα. Input: a DFT-relaxed cell (GGA-PBE, Alexandria).
Neutral-atom scattering factors, no anomalous dispersion.

The 10 most intense peaks (10° ≤ 2θ ≤ 90°), most intense first:
32.92°, rel. 100, (1 1 2)
41.52°, rel. 31, (2 0 0)
25.55°, rel. 26, (1 0 2)
70.31°, rel. 22, (3 1 2)
37.12°, rel. 22, (1 0 4)
30.66°, rel. 19, (0 0 4)
52.49°, rel. 16, (2 0 4)
21.81°, rel. 15, (1 0 1)
56.90°, rel. 13, (2 1 4)
51.49°, rel. 11, (1 0 6)

Atomic structure:
Cell: 4.3503 4.3503 11.6629 Å, 90.00 90.00 90.00°
Space group P-4m2 (No. 115)
One atom of each set of equivalent atoms:
Ce: 0.0000 0.5000 0.2125 (multiplicity 2)
Sb: 0.0000 0.0000 0.0000 (multiplicity 1)
Sb: 0.0000 0.5000 0.7031 (multiplicity 2)
Sb: 0.5000 0.5000 0.0000 (multiplicity 1)
Pb: 0.0000 0.0000 0.5000 (multiplicity 1)